This entry pairs a crystal structure of NaMg14Cd with its simulated X-ray diffraction stick pattern. Radiation: Cu Kα (weighted mean of Kα1 and Kα2). Structure: a structure optimized by DFT (GGA-PBE).
Kinematic intensities with the Lorentz-polarization factor, no thermal factor.

Crystal structure
```
data_NaMg14Cd
_space_group_name_H-M_alt 'P 1'
_space_group_IT_number 1
_cell_length_a 10.3963
_cell_length_b 6.4078
_cell_length_c 6.4078
_cell_angle_alpha 59.95
_cell_angle_beta 90.00
_cell_angle_gamma 90.00
loop_
_space_group_symop_operation_xyz
'x,y,z'
loop_
_atom_site_label
_atom_site_fract_x
_atom_site_fract_y
_atom_site_fract_z
Na1 0.0000 0.0000 0.0000
Mg1 0.0000 0.0013 0.4978
Mg2 0.0000 0.4978 0.0013
Mg3 0.2489 0.6662 0.6662
Mg4 0.2509 0.1678 0.6648
Mg5 0.2509 0.6648 0.1678
Mg6 0.2521 0.1672 0.1672
Mg7 0.5000 0.9999 0.9999
Mg8 0.5000 0.0003 0.4994
Mg9 0.5000 0.4994 0.0003
Mg10 0.5000 0.4995 0.4995
Mg11 0.7479 0.1672 0.1672
Mg12 0.7491 0.1678 0.6648
Mg13 0.7491 0.6648 0.1678
Mg14 0.7511 0.6662 0.6662
Cd1 0.0000 0.4992 0.4992
```

Largest 10 diffraction maxima, in order of rising 2θ, 10 to 90 degrees two-theta:
2θ 15.98, d 5.548, I 17; 2θ 18.12, d 4.895, I 25; 2θ 32.27, d 2.774, I 26; 2θ 34.51, d 2.599, I 26; 2θ 36.72, d 2.447, I 100; 2θ 47.97, d 1.897, I 16; 2θ 57.55, d 1.602, I 17; 2θ 63.28, d 1.470, I 19; 2θ 68.86, d 1.363, I 19; 2θ 70.24, d 1.340, I 14



This entry pairs a crystal structure of NaMg14Cd with its simulated X-ray diffraction stick pattern. Radiation: Cu Kα (weighted mean of Kα1 and Kα2). Structure: a structure optimized by DFT (GGA-PBE).
Kinematic intensities with the Lorentz-polarization factor, no thermal factor.

Crystal structure
```
data_NaMg14Cd
_space_group_name_H-M_alt 'P 1'
_space_group_IT_number 1
_cell_length_a 6.4206
_cell_length_b 6.4206
_cell_length_c 10.3442
_cell_angle_alpha 90.00
_cell_angle_beta 90.00
_cell_angle_gamma 120.00
loop_
_space_group_symop_operation_xyz
'x,y,z'
loop_
_atom_site_label
_atom_site_fract_x
_atom_site_fract_y
_atom_site_fract_z
Na1 0.0000 0.0000 0.0000
Mg1 0.0014 0.5007 0.0000
Mg2 0.1676 0.3351 0.2542
Mg3 0.1676 0.3351 0.7458
Mg4 0.1676 0.8324 0.2542
Mg5 0.1676 0.8324 0.7458
Mg6 0.4993 0.5007 0.0000
Mg7 0.4993 0.9986 0.0000
Mg8 0.5008 0.0015 0.5000
Mg9 0.5008 0.4992 0.5000
Mg10 0.6649 0.8324 0.2542
Mg11 0.6649 0.8324 0.7458
Mg12 0.6667 0.3333 0.2479
Mg13 0.6667 0.3333 0.7521
Mg14 0.9985 0.4992 0.5000
Cd1 0.0000 0.0000 0.5000
```

Largest 10 diffraction maxima, in order of rising 2θ, 10 to 90 degrees two-theta:
2θ 15.94, d 5.560, I 15; 2θ 18.11, d 4.898, I 26; 2θ 32.20, d 2.780, I 26; 2θ 34.69, d 2.586, I 26; 2θ 36.70, d 2.449, I 100; 2θ 48.05, d 1.894, I 16; 2θ 57.41, d 1.605, I 17; 2θ 63.49, d 1.465, I 19; 2θ 68.84, d 1.364, I 19; 2θ 70.10, d 1.342, I 14